This entry pairs a crystal structure of NpRe3B3 with its computed powder diffraction line list. Radiation: copper Kα. Structure: a DFT-relaxed cell (GGA-PBE, Alexandria).

Structure:
Cell: 6.8017 4.0669 7.2420 Å, 90.00 111.94 90.00°
Element x y z (fractional)
1 Np 0.1267 0.2500 0.3466
2 Np 0.8733 0.7500 0.6534
3 Re 0.2222 0.2500 0.9980
4 Re 0.3204 0.7500 0.7814
5 Re 0.4511 0.7500 0.2532
6 Re 0.5489 0.2500 0.7468
7 Re 0.6796 0.2500 0.2186
8 Re 0.7778 0.7500 0.0020
9 B 0.1185 0.7500 0.0584
10 B 0.1846 0.2500 0.7013
11 B 0.4341 0.7500 0.5377
12 B 0.5659 0.2500 0.4623
13 B 0.8154 0.7500 0.2987
14 B 0.8815 0.2500 0.9416

Peak list (10 most intense, 2θ = 15–90°, by angle)
(hkl), d [Å], intensity
0 1 1, 3.479, 23
2 0 -2, 2.904, 30
1 1 1, 2.824, 34
1 1 -2, 2.683, 100
1 0 2, 2.590, 41
2 0 1, 2.517, 29
2 1 0, 2.493, 95
1 1 -3, 2.076, 50
0 2 0, 2.033, 57
3 1 -1, 1.977, 25